Entry 1:
The following is a theoretical X-ray diffraction stick pattern of Ac5Sn3. It was derived from a structure optimized by DFT (PBE), using Cu Ka.
Intensities are scaled so that the largest is 100.

Structural model:
```
data_Ac5Sn3
_chemical_formula_sum 'Ac20 Sn12'
_space_group_name_H-M_alt 'I 4/m c m'
_space_group_IT_number 140
_space_group_name_Hall '-I 4 2c'
_cell_length_a 8.865
_cell_length_b 8.865
_cell_length_c 15.275
_cell_angle_alpha 90.00
_cell_angle_beta 90.00
_cell_angle_gamma 90.00
loop_
_atom_site_label
_atom_site_fract_x
_atom_site_fract_y
_atom_site_fract_z
_atom_site_occupancy
Ac1 0.000 0.000 0.000 1
Ac2 0.166 0.334 0.148 1
Sn1 0.000 0.000 0.250 1
Sn2 0.131 0.369 0.500 1
```

Peak list (10 most intense, 10 to 80 degrees two-theta, low angle first)
d [Å]  two_theta  I/Imax
3.836  23.2  16
3.261  27.3  13
3.129  28.5  100
2.893  30.9  27
2.803  31.9  44
1.981  45.8  23
1.911  47.6  12
1.885  48.3  11
1.833  49.7  13
1.567  59.0  16

Entry 2:
The following is a theoretical X-ray diffraction stick pattern of K4NaNp3O12. It was derived from a structure optimized by DFT (PBE), using Cu Ka.
Intensities are scaled so that the largest is 100.

Structural model:
```
data_K4NaNp3O12
_chemical_formula_sum 'K8 Na2 Np6 O24'
_space_group_name_H-M_alt 'I m -3 m'
_space_group_IT_number 229
_space_group_name_Hall '-I 4 2 3'
_cell_length_a 8.638
_cell_length_b 8.638
_cell_length_c 8.638
_cell_angle_alpha 90.00
_cell_angle_beta 90.00
_cell_angle_gamma 90.00
loop_
_atom_site_label
_atom_site_fract_x
_atom_site_fract_y
_atom_site_fract_z
_atom_site_occupancy
K1 0.250 0.250 0.250 1
Na1 0.000 0.000 0.000 1
Np1 0.000 0.000 0.500 1
O1 0.000 0.000 0.281 1
O2 0.000 0.250 0.500 1
```

Peak list (10 most intense, 10 to 80 degrees two-theta, low angle first)
d [Å]  two_theta  I/Imax
6.108  14.5  37
4.319  20.6  67
3.526  25.3  20
3.054  29.2  100
2.159  41.8  32
1.931  47.0  32
1.763  51.9  41
1.527  60.6  20
1.440  64.8  16
1.366  68.7  19

Entry 3:
The following is a theoretical X-ray diffraction stick pattern of Ti7V5In. It was derived from a structure optimized by DFT (PBE), using Cu Ka.
Intensities are scaled so that the largest is 100.

Structural model:
```
data_Ti7V5In
_chemical_formula_sum 'Ti14 V10 In2'
_space_group_name_H-M_alt 'I m m 2'
_space_group_IT_number 44
_cell_length_a 5.184
_cell_length_b 9.041
_cell_length_c 9.185
_cell_angle_alpha 90.00
_cell_angle_beta 90.00
_cell_angle_gamma 90.00
loop_
_space_group_symop_operation_xyz
'x,y,z'
'-x,-y,z'
'-x,y,z'
'x,-y,z'
'x+1/2,y+1/2,z+1/2'
'-x+1/2,-y+1/2,z+1/2'
'-x+1/2,y+1/2,z+1/2'
'x+1/2,-y+1/2,z+1/2'
loop_
_atom_site_label
_atom_site_fract_x
_atom_site_fract_y
_atom_site_fract_z
_atom_site_occupancy
Ti1 0.000 0.000 0.000 1
Ti2 0.000 0.000 0.346 1
Ti3 0.000 0.304 0.843 1
Ti4 0.000 0.341 0.343 1
Ti5 0.000 0.500 0.628 1
V1 0.000 0.500 0.047 1
V2 0.248 0.250 0.076 1
In1 0.000 0.000 0.691 1
```

Peak list (10 most intense, 10 to 80 degrees two-theta, low angle first)
d [Å]  two_theta  I/Imax
2.636  34.0  46
2.605  34.4  48
2.592  34.6  26
2.277  39.6  74
2.266  39.8  51
2.259  39.9  77
2.248  40.1  59
2.046  44.3  59
2.028  44.7  30
2.020  44.9  100

Entry 4:
The following is a theoretical X-ray diffraction stick pattern of HoSc3Ru3. It was derived from a structure optimized by DFT (PBE), using Cu Ka.
Intensities are scaled so that the largest is 100.

Structural model:
```
data_HoSc3Ru3
_chemical_formula_sum 'Ho3 Sc9 Ru9'
_space_group_name_H-M_alt 'R 3 m'
_space_group_IT_number 160
_space_group_name_Hall 'R 3 -2"'
_cell_length_a 9.1999
_cell_length_b 9.1999
_cell_length_c 5.4691
_cell_angle_alpha 90.00
_cell_angle_beta 90.00
_cell_angle_gamma 120.00
loop_
_atom_site_label
_atom_site_fract_x
_atom_site_fract_y
_atom_site_fract_z
_atom_site_occupancy
Ho1 0.0000 0.0000 0.0000 1
Sc1 0.1946 0.3893 0.2155 1
Ru1 0.0041 0.5020 0.4071 1
```

Peak list (10 most intense, 10 to 80 degrees two-theta, low angle first)
d [Å]  two_theta  I/Imax
4.509  19.7  72
2.638  34.0  66
2.586  34.7  18
2.300  39.2  100
2.255  40.0  75
2.049  44.2  26
1.610  57.2  21
1.429  65.3  12
1.328  71.0  13
1.319  71.5  20

Entry 5:
The following is a theoretical X-ray diffraction stick pattern of Ho5Hg2Ru2. It was derived from a structure optimized by DFT (PBE), using Cu Ka.
Intensities are scaled so that the largest is 100.

Structural model:
```
data_Ho5Hg2Ru2
_chemical_formula_sum 'Ho20 Hg8 Ru8'
_space_group_name_H-M_alt 'C m c e'
_space_group_IT_number 64
_space_group_name_Hall '-C 2ac 2'
_cell_length_a 15.971
_cell_length_b 7.373
_cell_length_c 7.549
_cell_angle_alpha 90.00
_cell_angle_beta 90.00
_cell_angle_gamma 90.00
loop_
_atom_site_label
_atom_site_fract_x
_atom_site_fract_y
_atom_site_fract_z
_atom_site_occupancy
Ho1 0.000 0.000 0.000 1
Ho2 0.121 0.174 0.325 1
Hg1 0.218 0.000 0.000 1
Ru1 0.000 0.124 0.628 1
```

Peak list (10 most intense, 10 to 80 degrees two-theta, low angle first)
d [Å]  two_theta  I/Imax
2.841  31.5  64
2.743  32.6  93
2.732  32.8  72
2.709  33.1  91
2.637  34.0  79
2.549  35.2  89
2.355  38.2  60
2.314  38.9  100
1.540  60.1  41
1.318  71.6  36

Entry 6:
The following is a theoretical X-ray diffraction stick pattern of Sr4CdRh. It was derived from a structure optimized by DFT (PBE), using Cu Ka.
Intensities are scaled so that the largest is 100.

Structural model:
```
data_Sr4CdRh
_chemical_formula_sum 'Sr16 Cd4 Rh4'
_space_group_name_H-M_alt 'C 1 2/c 1'
_space_group_IT_number 15
_cell_length_a 9.886
_cell_length_b 14.553
_cell_length_c 6.803
_cell_angle_alpha 90.00
_cell_angle_beta 115.49
_cell_angle_gamma 90.00
loop_
_space_group_symop_operation_xyz
'x,y,z'
'-x,-y,-z'
'-x,y,-z+1/2'
'x,-y,z+1/2'
'x+1/2,y+1/2,z'
'-x+1/2,-y+1/2,-z'
'-x+1/2,y+1/2,-z+1/2'
'x+1/2,-y+1/2,z+1/2'
loop_
_atom_site_label
_atom_site_fract_x
_atom_site_fract_y
_atom_site_fract_z
_atom_site_occupancy
Sr1 0.110 0.167 0.069 1
Sr2 0.219 0.430 0.329 1
Cd1 0.000 0.370 0.750 1
Rh1 0.000 0.000 0.250 1
```

Peak list (10 most intense, 10 to 80 degrees two-theta, low angle first)
d [Å]  two_theta  I/Imax
7.277  12.2  48
3.298  27.0  42
3.208  27.8  96
3.130  28.5  45
2.876  31.1  33
2.805  31.9  100
2.777  32.2  80
2.767  32.4  42
2.537  35.4  53
2.445  36.8  39

Entry 7:
The following is a theoretical X-ray diffraction stick pattern of Th2Ni3. It was derived from a structure optimized by DFT (PBE), using Cu Ka.
Intensities are scaled so that the largest is 100.

Structural model:
```
data_Th2Ni3
_chemical_formula_sum 'Th4 Ni6'
_space_group_name_H-M_alt 'P 1 21/c 1'
_space_group_IT_number 14
_cell_length_a 5.287
_cell_length_b 7.797
_cell_length_c 5.203
_cell_angle_alpha 90.00
_cell_angle_beta 119.18
_cell_angle_gamma 90.00
loop_
_space_group_symop_operation_xyz
'x,y,z'
'-x,-y,-z'
'-x,y+1/2,-z+1/2'
'x,-y+1/2,z+1/2'
loop_
_atom_site_label
_atom_site_fract_x
_atom_site_fract_y
_atom_site_fract_z
_atom_site_occupancy
Th1 0.189 0.100 0.344 1
Ni1 0.303 0.750 0.152 1
Ni2 0.500 0.000 0.000 1
```

Peak list (10 most intense, 10 to 80 degrees two-theta, low angle first)
d [Å]  two_theta  I/Imax
3.919  22.7  30
2.956  30.2  100
2.602  34.5  21
2.513  35.7  46
2.503  35.9  45
2.265  39.8  54
2.181  41.4  23
2.172  41.6  23
2.164  41.7  19
1.560  59.2  19

Entry 8:
The following is a theoretical X-ray diffraction stick pattern of Cs3Li2I7. It was derived from a structure optimized by DFT (PBE), using Cu Ka.
Intensities are scaled so that the largest is 100.

Structural model:
```
data_Cs3Li2I7
_chemical_formula_sum 'Cs6 Li4 I14'
_space_group_name_H-M_alt 'C m m m'
_space_group_IT_number 65
_space_group_name_Hall '-C 2 2'
_cell_length_a 5.540
_cell_length_b 36.409
_cell_length_c 5.355
_cell_angle_alpha 90.00
_cell_angle_beta 90.00
_cell_angle_gamma 90.00
loop_
_atom_site_label
_atom_site_fract_x
_atom_site_fract_y
_atom_site_fract_z
_atom_site_occupancy
Cs1 0.000 0.000 0.000 1
Cs2 0.000 0.184 0.000 1
Li1 0.000 0.376 0.500 1
I1 0.000 0.098 0.500 1
I2 0.000 0.301 0.500 1
I3 0.000 0.404 0.000 1
I4 0.000 0.500 0.500 1
```

Peak list (10 most intense, 10 to 80 degrees two-theta, low angle first)
d [Å]  two_theta  I/Imax
3.641  24.4  26
3.404  26.2  100
2.770  32.3  16
2.677  33.5  14
2.205  40.9  13
2.157  41.9  12
2.053  44.1  16
1.702  53.9  11
1.698  54.0  13
1.655  55.5  13

> What is the formula in the fifth record?

Ho5Hg2Ru2